Record 1
Starting from DFT lattice parameters and positions (GGA-PBE), the powder diffraction line list of LiHSeBrF was simulated for λ = 1.5418 Å (Cu Kα).
Kinematic intensities with the Lorentz-polarization factor, no thermal factor.

Largest 8 diffraction maxima, in order of falling intensity, 2θ = 10–90°:
25.14 deg, I 100, (0 1 1); 17.82 deg, I 64, (0 0 2); 32.99 deg, I 35, (1 0 1); 26.86 deg, I 32, (0 0 3); 29.63 deg, I 23, (0 1 -2); 40.86 deg, I 22, (1 -1 0); 35.97 deg, I 21, (0 1 3); 43.50 deg, I 19, (0 1 -4)

Structure:
abc: 2.741 3.790 10.039
angles: 89.93 82.63 89.94
Space group P1 (No. 1)
One atom of each set of equivalent atoms:
Li1 0.000 0.000 0.000 (multiplicity 1)
H1 0.615 0.004 0.756 (multiplicity 1)
Se1 0.693 0.006 0.591 (multiplicity 1)
Br1 0.916 0.500 0.179 (multiplicity 1)
F1 0.553 0.002 0.887 (multiplicity 1)

Record 2
Starting from DFT lattice parameters and positions (GGA-PBE), the powder diffraction line list of LiHSeBrF was simulated for λ = 1.5418 Å (Cu Kα).
Kinematic intensities with the Lorentz-polarization factor, no thermal factor.

Largest 8 diffraction maxima, in order of falling intensity, 2θ = 10–90°:
24.51 deg, I 100, (2 0 -2); 17.01 deg, I 91, (2 0 0); 34.01 deg, I 70, (1 1 0); 26.08 deg, I 53, (2 0 1); 41.27 deg, I 45, (1 1 -2); 26.93 deg, I 42, (0 0 2); 30.68 deg, I 40, (4 0 -1); 48.10 deg, I 28, (3 1 1)

Structure:
abc: 11.678 2.725 7.417
angles: 90.00 116.76 90.00
Space group Cm (No. 8)
One atom of each set of equivalent atoms:
Li1 0.000 0.000 0.000 (multiplicity 2)
H1 0.225 0.500 0.132 (multiplicity 2)
Se1 0.393 0.500 0.258 (multiplicity 2)
Br1 0.295 0.500 0.678 (multiplicity 2)
F1 0.113 0.500 0.054 (multiplicity 2)

Record 3
Starting from DFT lattice parameters and positions (GGA-PBE), the powder diffraction line list of HOsBrF was simulated for λ = 1.5418 Å (Cu Kα).
Kinematic intensities with the Lorentz-polarization factor, no thermal factor.

Largest 8 diffraction maxima, in order of falling intensity, 2θ = 10–90°:
15.51 deg, I 100, (0 0 1); 26.76 deg, I 68, (0 1 1); 34.27 deg, I 62, (1 0 0); 36.07 deg, I 29, (0 1 -2); 20.36 deg, I 29, (0 1 0); 40.56 deg, I 28, (-1 1 1); 24.58 deg, I 21, (0 1 -1); 43.09 deg, I 18, (0 2 -1)

Structure:
abc: 2.688 4.379 5.881
angles: 94.83 102.87 90.01
Space group P1 (No. 1)
One atom of each set of equivalent atoms:
H1 0.000 0.000 0.000 (multiplicity 1)
Os1 0.911 0.705 0.818 (multiplicity 1)
Br1 0.772 0.083 0.534 (multiplicity 1)
F1 0.037 0.452 0.077 (multiplicity 1)

Record 4
Starting from DFT lattice parameters and positions (GGA-PBE), the powder diffraction line list of RbH2BrF2 was simulated for λ = 1.5418 Å (Cu Kα).
Kinematic intensities with the Lorentz-polarization factor, no thermal factor.

Largest 8 diffraction maxima, in order of falling intensity, 2θ = 10–90°:
29.65 deg, I 100, (0 1 2); 23.76 deg, I 84, (0 1 1); 10.07 deg, I 61, (0 0 1); 30.52 deg, I 52, (0 0 3); 35.71 deg, I 43, (2 1 0); 28.20 deg, I 37, (2 0 0); 26.74 deg, I 36, (2 0 -1); 40.98 deg, I 34, (2 1 -3)

Structure:
abc: 6.675 4.141 9.268
angles: 90.00 108.53 90.00
Space group P2_1/m (No. 11)
One atom of each set of equivalent atoms:
Rb1 0.189 0.250 0.358 (multiplicity 2)
H1 0.254 0.503 0.993 (multiplicity 4)
Br1 0.315 0.750 0.650 (multiplicity 2)
F1 0.170 0.250 0.962 (multiplicity 2)
F2 0.325 0.750 0.035 (multiplicity 2)

Record 5
Starting from DFT lattice parameters and positions (GGA-PBE), the powder diffraction line list of SbHBrF was simulated for λ = 1.5418 Å (Cu Kα).
Kinematic intensities with the Lorentz-polarization factor, no thermal factor.

Largest 8 diffraction maxima, in order of falling intensity, 2θ = 10–90°:
22.44 deg, I 100, (0 1 -1); 15.63 deg, I 75, (0 0 1); 33.13 deg, I 36, (-1 1 1); 32.13 deg, I 34, (1 0 1); 32.43 deg, I 31, (1 1 0); 34.22 deg, I 30, (1 0 -2); 45.77 deg, I 24, (0 2 -2); 19.89 deg, I 22, (0 1 0)

Structure:
abc: 3.864 4.579 6.021
angles: 102.21 105.08 90.81
Space group P1 (No. 1)
One atom of each set of equivalent atoms:
Sb1 0.000 0.000 0.000 (multiplicity 1)
H1 0.987 0.274 0.838 (multiplicity 1)
Br1 0.693 0.372 0.289 (multiplicity 1)
F1 0.486 0.853 0.794 (multiplicity 1)

Record 6
Starting from DFT lattice parameters and positions (GGA-PBE), the powder diffraction line list of SiHSeBrF was simulated for λ = 1.5418 Å (Cu Kα).
Kinematic intensities with the Lorentz-polarization factor, no thermal factor.

Largest 8 diffraction maxima, in order of falling intensity, 2θ = 10–90°:
18.29 deg, I 100, (0 1 0); 14.18 deg, I 90, (0 0 1); 25.87 deg, I 70, (0 1 1); 26.35 deg, I 68, (1 -1 0); 29.99 deg, I 59, (0 1 -2); 26.88 deg, I 52, (1 1 0); 27.65 deg, I 45, (1 1 -1); 24.63 deg, I 41, (1 0 1)

Structure:
abc: 4.639 5.002 6.454
angles: 104.15 93.37 90.27
Space group P1 (No. 1)
One atom of each set of equivalent atoms:
Si1 0.000 0.000 0.000 (multiplicity 1)
H1 0.514 0.363 0.145 (multiplicity 1)
Se1 0.496 0.153 0.938 (multiplicity 1)
Br1 0.024 0.862 0.311 (multiplicity 1)
F1 0.983 0.714 0.812 (multiplicity 1)

Record 7
Starting from DFT lattice parameters and positions (GGA-PBE), the powder diffraction line list of Hg2BrF2 was simulated for λ = 1.5418 Å (Cu Kα).
Kinematic intensities with the Lorentz-polarization factor, no thermal factor.

Largest 8 diffraction maxima, in order of falling intensity, 2θ = 10–90°:
29.01 deg, I 100, (-1 1 1); 23.16 deg, I 93, (0 1 -1); 24.00 deg, I 84, (1 1 -1); 28.90 deg, I 64, (1 1 2); 44.26 deg, I 45, (1 0 3); 13.49 deg, I 41, (0 0 1); 15.92 deg, I 38, (1 0 0); 16.07 deg, I 34, (0 1 0)

Structure:
abc: 6.221 6.306 6.766
angles: 75.95 83.06 63.54
Space group P1 (No. 1)
One atom of each set of equivalent atoms:
Hg1 0.000 0.000 0.000 (multiplicity 1)
Hg2 0.124 0.735 0.684 (multiplicity 1)
Hg3 0.329 0.224 0.253 (multiplicity 1)
Hg4 0.481 0.751 0.878 (multiplicity 1)
Br1 0.449 0.309 0.554 (multiplicity 1)
Br2 0.704 0.758 0.187 (multiplicity 1)
F1 0.107 0.965 0.336 (multiplicity 1)
F2 0.139 0.311 0.978 (multiplicity 1)
F3 0.633 0.314 0.989 (multiplicity 1)
F4 0.785 0.715 0.647 (multiplicity 1)

Record 8
Starting from DFT lattice parameters and positions (GGA-PBE), the powder diffraction line list of Hg2Br2F was simulated for λ = 1.5418 Å (Cu Kα).
Kinematic intensities with the Lorentz-polarization factor, no thermal factor.

Largest 8 diffraction maxima, in order of falling intensity, 2θ = 10–90°:
17.94 deg, I 100, (1 -1 0); 27.88 deg, I 38, (0 2 -1); 11.43 deg, I 32, (0 0 1); 12.99 deg, I 31, (0 1 0); 25.67 deg, I 28, (0 1 -2); 26.18 deg, I 28, (0 2 0); 27.07 deg, I 27, (1 0 2); 27.25 deg, I 25, (0 1 2)

Structure:
abc: 6.666 6.845 7.767
angles: 93.78 91.83 93.90
Space group P1 (No. 1)
One atom of each set of equivalent atoms:
Hg1 0.000 0.000 0.000 (multiplicity 1)
Hg2 0.040 0.899 0.486 (multiplicity 1)
Hg3 0.338 0.430 0.764 (multiplicity 1)
Hg4 0.660 0.795 0.528 (multiplicity 1)
Br1 0.085 0.551 0.966 (multiplicity 1)
Br2 0.253 0.105 0.249 (multiplicity 1)
Br3 0.626 0.343 0.587 (multiplicity 1)
Br4 0.634 0.908 0.925 (multiplicity 1)
F1 0.154 0.095 0.750 (multiplicity 1)
F2 0.333 0.730 0.540 (multiplicity 1)

Record 9
Starting from DFT lattice parameters and positions (GGA-PBE), the powder diffraction line list of Hg2BrF2 was simulated for λ = 1.5418 Å (Cu Kα).
Kinematic intensities with the Lorentz-polarization factor, no thermal factor.

Largest 8 diffraction maxima, in order of falling intensity, 2θ = 10–90°:
21.97 deg, I 100, (-1 1 1); 18.50 deg, I 78, (1 0 1); 31.67 deg, I 58, (1 2 1); 20.09 deg, I 58, (1 0 -1); 27.03 deg, I 41, (1 -1 1); 39.78 deg, I 38, (-2 1 2); 30.78 deg, I 33, (1 0 -2); 23.58 deg, I 33, (0 1 -1)

Structure:
abc: 6.208 6.278 7.461
angles: 67.44 85.18 88.74
Space group P1 (No. 1)
One atom of each set of equivalent atoms:
Hg1 0.000 0.000 0.000 (multiplicity 1)
Hg2 0.068 0.645 0.686 (multiplicity 1)
Hg3 0.533 0.048 0.449 (multiplicity 1)
Hg4 0.682 0.446 0.417 (multiplicity 1)
Br1 0.257 0.267 0.053 (multiplicity 1)
Br2 0.720 0.745 0.956 (multiplicity 1)
F1 0.220 0.927 0.723 (multiplicity 1)
F2 0.398 0.717 0.468 (multiplicity 1)
F3 0.862 0.764 0.387 (multiplicity 1)
F4 0.884 0.346 0.719 (multiplicity 1)

Record 10
Starting from DFT lattice parameters and positions (GGA-PBE), the powder diffraction line list of Hg4BrF was simulated for λ = 1.5418 Å (Cu Kα).
Kinematic intensities with the Lorentz-polarization factor, no thermal factor.

Largest 8 diffraction maxima, in order of falling intensity, 2θ = 10–90°:
29.62 deg, I 100, (0 2 2); 39.48 deg, I 37, (3 1 2); 29.73 deg, I 29, (2 0 2); 29.32 deg, I 26, (2 2 0); 14.54 deg, I 25, (1 1 0); 42.98 deg, I 20, (0 0 4); 44.61 deg, I 19, (3 3 0); 34.70 deg, I 18, (3 1 1)

Structure:
abc: 8.585 8.650 8.418
angles: 90.00 90.00 90.00
Space group Cccm (No. 66)
One atom of each set of equivalent atoms:
Hg1 0.046 0.212 0.000 (multiplicity 8)
Hg2 0.175 0.000 0.250 (multiplicity 8)
Br1 0.000 0.500 0.250 (multiplicity 4)
F1 0.250 0.250 0.500 (multiplicity 4)